Record 1
For Tb3Pm7Sc, a crystal structure in Alexandria, relaxed with GGA-PBE gives the computed X-ray diffraction stick pattern in this record (CuKα).

Atomic structure:
```
data_Tb3Pm7Sc
_cell_length_a 6.5562
_cell_length_b 8.6519
_cell_length_c 13.2433
_cell_angle_alpha 96.64
_cell_angle_beta 95.64
_cell_angle_gamma 97.14
_space_group_name_H-M_alt 'P 1'
_space_group_IT_number 1
_space_group_name_Hall 'P 1'
loop_
_atom_site_label
_atom_site_fract_x
_atom_site_fract_y
_atom_site_fract_z
_atom_site_occupancy
Tb1 0.0000 0.0000 0.0000 1
Tb2 0.0039 0.9947 0.4976 1
Tb3 0.0477 0.6057 0.8353 1
Tb4 0.4616 0.8974 0.4162 1
Tb5 0.5385 0.5472 0.2808 1
Tb6 0.5986 0.1875 0.1196 1
Pm1 0.1848 0.2051 0.7710 1
Pm2 0.1910 0.2069 0.2743 1
Pm3 0.2390 0.4081 0.0257 1
Pm4 0.2480 0.4122 0.5256 1
Pm5 0.2844 0.8081 0.1550 1
Pm6 0.2941 0.8060 0.6485 1
Pm7 0.4561 0.8942 0.9157 1
Pm8 0.6015 0.1935 0.6202 1
Pm9 0.7198 0.2634 0.8825 1
Pm10 0.7323 0.2613 0.3815 1
Pm11 0.7455 0.6087 0.0406 1
Pm12 0.7616 0.6067 0.5459 1
Pm13 0.8072 0.8975 0.7412 1
Pm14 0.8087 0.8996 0.2408 1
Sc1 0.0600 0.6178 0.3461 1
Sc2 0.5259 0.5456 0.7767 1
```

Top 6 peaks for 10° ≤ 2θ ≤ 90°, by intensity:
(hkl), 2θ (°), Rel. int.
2 1 -2, 31.96, 100.0
-1 1 4, 31.60, 51.2
1 -3 0, 32.71, 34.9
2 -1 2, 32.15, 24.6
0 2 -4, 32.31, 22.4
2 -2 0, 32.41, 18.1

=====

Record 2
For RbSiTcO6, a crystal structure in Alexandria, relaxed with GGA-PBE gives the computed X-ray diffraction stick pattern in this record (CuKα).

Atomic structure:
```
data_RbSiTcO6
_cell_length_a 4.9913
_cell_length_b 4.9913
_cell_length_c 6.3710
_cell_angle_alpha 90.00
_cell_angle_beta 90.00
_cell_angle_gamma 120.00
_space_group_name_H-M_alt 'P 3'
_space_group_IT_number 143
_space_group_name_Hall 'P 3'
loop_
_atom_site_label
_atom_site_fract_x
_atom_site_fract_y
_atom_site_fract_z
_atom_site_occupancy
Rb1 0.0000 0.0000 0.0000 1
Si1 0.6667 0.3333 0.4575 1
Tc1 0.3333 0.6667 0.5055 1
O1 0.3966 0.0210 0.6405 1
O2 0.4122 0.4066 0.3125 1
```

Top 6 peaks for 10° ≤ 2θ ≤ 90°, by intensity:
(hkl), 2θ (°), Rel. int.
1 0 1, 24.89, 100.0
2 -1 2, 46.21, 34.1
0 0 1, 13.90, 23.3
1 1 0, 35.99, 18.8
3 -1 1, 58.30, 17.4
0 2 1, 44.25, 14.5

=====

Record 3
For Pr2UZnRh6, a crystal structure in Alexandria, relaxed with GGA-PBE gives the computed X-ray diffraction stick pattern in this record (CuKα).

Atomic structure:
```
data_Pr2UZnRh6
_cell_length_a 10.1613
_cell_length_b 5.8692
_cell_length_c 8.0631
_cell_angle_alpha 90.00
_cell_angle_beta 114.80
_cell_angle_gamma 90.00
_space_group_name_H-M_alt 'C 1 2/m 1'
_space_group_IT_number 12
_space_group_name_Hall '-C 2y'
loop_
_atom_site_label
_atom_site_fract_x
_atom_site_fract_y
_atom_site_fract_z
_atom_site_occupancy
Pr1 0.2180 0.0000 0.1545 1
U1 0.0000 0.5000 0.0000 1
Zn1 0.0000 0.0000 0.5000 1
Rh1 0.0033 0.2475 0.7566 1
Rh2 0.2494 0.5000 0.2438 1
```

Top 6 peaks for 10° ≤ 2θ ≤ 90°, by intensity:
(hkl), 2θ (°), Rel. int.
2 2 -2, 39.06, 100.0
0 0 1, 12.09, 50.5
4 0 -4, 48.84, 34.8
4 0 -2, 36.29, 34.1
2 0 0, 19.25, 29.1
0 4 0, 63.41, 27.6

=====

Record 4
For HoMgTi2O6, a crystal structure in Alexandria, relaxed with GGA-PBE gives the computed X-ray diffraction stick pattern in this record (CuKα).

Atomic structure:
```
data_HoMgTi2O6
_cell_length_a 7.6074
_cell_length_b 5.4862
_cell_length_c 5.2372
_cell_angle_alpha 90.00
_cell_angle_beta 90.00
_cell_angle_gamma 90.00
_space_group_name_H-M_alt 'P m n 21'
_space_group_IT_number 31
_space_group_name_Hall 'P 2ac -2'
loop_
_atom_site_label
_atom_site_fract_x
_atom_site_fract_y
_atom_site_fract_z
_atom_site_occupancy
Ho1 0.0000 0.1806 0.0000 1
Mg1 0.0000 0.6984 0.4720 1
Ti1 0.2504 0.2585 0.4858 1
O1 0.0000 0.3056 0.5926 1
O2 0.0000 0.7876 0.8559 1
O3 0.1884 0.9405 0.3000 1
O4 0.1888 0.4477 0.1773 1
```

Top 6 peaks for 10° ≤ 2θ ≤ 90°, by intensity:
(hkl), 2θ (°), Rel. int.
2 1 1, 33.38, 100.0
1 0 1, 20.59, 53.9
1 1 0, 19.95, 46.6
2 1 3, 60.77, 25.2
0 0 2, 34.24, 23.2
1 1 2, 39.95, 22.0